# 1
For Cu5AgBr12, a DFT-relaxed cell (PBE, Alexandria) gives the theoretical powder X-ray diffraction pattern in this record (Cu Kα).
Intensities are scaled so that the largest is 100.

The 12 most intense peaks (10 to 90 degrees two-theta), in order of falling intensity:
2θ/deg	I_rel
13.37	100
26.22	53
25.62	48
22.95	39
23.28	38
39.94	29
38.00	28
34.82	23
43.57	22
33.91	22
52.64	20
44.81	16

Crystal structure
```
Cu5AgBr12
1.0
6.642 0.000 0.000
1.786 6.414 0.000
0.637 0.055 13.244
Cu Ag Br
5 1 12
Cartesian
0.000 0.000 0.000
2.601 4.288 6.620
2.812 2.140 0.001
6.252 4.329 13.243
6.464 2.181 6.624
3.639 0.027 6.622
0.940 1.683 1.478
1.685 2.613 8.092
3.373 5.931 5.059
2.512 0.509 11.769
3.743 3.826 1.475
4.389 4.598 8.182
4.676 1.871 5.062
5.321 2.643 11.769
6.553 5.960 1.475
5.692 0.538 8.185
7.380 3.856 5.151
8.124 4.786 11.766
```

---

# 2
For Cu2Ag3Br8, a DFT-relaxed cell (PBE, Alexandria) gives the theoretical powder X-ray diffraction pattern in this record (Cu Kα).
Intensities are scaled so that the largest is 100.

The 12 most intense peaks (10 to 90 degrees two-theta), in order of falling intensity:
2θ/deg	I_rel
27.80	100
44.06	69
48.20	55
33.46	49
33.68	44
23.64	41
27.10	40
43.36	38
45.09	34
27.33	30
55.85	19
57.29	18

Crystal structure
```
Cu2Ag3Br8
1.0
8.497 0.000 0.000
0.000 10.713 0.000
-2.738 0.000 8.040
Cu Ag Br
4 6 16
Cartesian
1.089 1.185 3.000
-0.280 4.171 7.020
6.039 6.542 1.020
4.670 9.528 5.040
1.631 7.929 0.902
0.262 8.140 4.922
4.248 0.000 0.000
2.880 5.356 4.020
5.497 2.573 3.118
4.129 2.784 7.138
-0.593 2.617 2.045
-1.961 2.740 6.065
0.403 0.060 4.989
1.772 5.297 0.969
0.383 5.450 5.053
1.752 10.620 1.033
2.906 2.638 3.872
1.537 2.718 7.892
4.222 7.995 0.148
2.853 8.075 4.167
4.008 0.093 7.006
5.376 5.263 2.987
3.987 5.416 7.070
5.356 10.653 3.051
7.721 7.973 1.975
6.352 8.096 5.995
```

---

# 3
For Cu3AgBr6, a DFT-relaxed cell (PBE, Alexandria) gives the theoretical powder X-ray diffraction pattern in this record (Cu Kα).
Intensities are scaled so that the largest is 100.

The 12 most intense peaks (10 to 90 degrees two-theta), in order of falling intensity:
2θ/deg	I_rel
19.46	100
28.04	41
27.17	38
38.63	36
19.04	35
35.66	27
39.06	25
28.99	23
53.95	18
40.77	16
47.43	16
50.47	13

Crystal structure
```
Cu3AgBr6
1.0
-3.752 6.792 6.159
3.752 -6.792 6.159
3.752 6.792 -6.159
Cu Ag Br
6 2 12
Cartesian
5.500 2.533 0.000
0.000 0.000 3.080
1.748 4.258 0.000
2.004 2.533 6.159
0.000 0.000 9.239
-1.748 4.258 6.159
3.752 0.000 3.080
0.000 6.792 3.080
1.652 -1.555 2.238
3.109 2.309 0.000
2.101 5.236 -2.238
5.853 1.555 2.238
3.109 -2.309 6.159
1.652 1.555 3.922
2.101 5.236 2.238
0.643 9.101 0.000
-2.101 5.236 3.922
1.652 1.555 8.397
0.643 4.482 6.159
2.101 8.347 3.922
```

---

# 4
For CuAg2Br2F, a DFT-relaxed cell (PBE, Alexandria) gives the theoretical powder X-ray diffraction pattern in this record (Cu Kα).
Intensities are scaled so that the largest is 100.

The 12 most intense peaks (10 to 90 degrees two-theta), in order of falling intensity:
2θ/deg	I_rel
30.86	100
25.34	68
23.13	68
54.15	49
43.35	46
39.21	41
40.34	38
38.93	37
25.85	36
50.71	35
36.51	31
29.73	28

Crystal structure
```
CuAg2Br2F
1.0
6.892 -3.515 0.000
6.892 3.515 0.000
0.000 0.000 5.796
Cu Ag Br F
2 4 4 2
Cartesian
6.892 2.674 2.898
6.892 -2.674 0.000
4.814 1.258 0.257
8.971 1.258 0.257
4.814 -1.258 3.155
8.971 -1.258 3.155
4.806 1.536 3.213
8.978 1.536 3.213
4.806 -1.536 0.315
8.978 -1.536 0.315
6.892 2.417 0.595
6.892 -2.417 3.493
```

---

# 5
For CuAg2IBr2, a DFT-relaxed cell (PBE, Alexandria) gives the theoretical powder X-ray diffraction pattern in this record (Cu Kα).
Intensities are scaled so that the largest is 100.

The 12 most intense peaks (10 to 90 degrees two-theta), in order of falling intensity:
2θ/deg	I_rel
23.47	100
40.96	84
44.57	82
24.64	76
26.55	67
23.23	47
48.39	45
44.44	43
41.39	41
26.34	36
62.34	32
34.29	31

Crystal structure
```
CuAg2IBr2
1.0
6.545 -3.829 0.000
6.545 3.829 0.000
0.000 0.000 7.225
Cu Ag I Br
2 4 2 4
Cartesian
6.545 2.525 3.613
6.545 -2.525 0.000
4.396 1.298 0.166
8.694 1.298 0.166
4.396 -1.298 3.779
8.694 -1.298 3.779
6.545 2.721 6.232
6.545 -2.721 2.619
4.487 1.324 2.913
8.603 1.324 2.913
4.487 -1.324 6.526
8.603 -1.324 6.526
```

---

# 6
For CuAgIBr, a DFT-relaxed cell (PBE, Alexandria) gives the theoretical powder X-ray diffraction pattern in this record (Cu Kα).
Intensities are scaled so that the largest is 100.

The 12 most intense peaks (10 to 90 degrees two-theta), in order of falling intensity:
2θ/deg	I_rel
25.06	100
41.09	91
24.82	88
49.00	31
49.40	26
41.40	24
41.99	23
48.07	16
60.44	15
75.29	14
76.11	14
32.50	12

Crystal structure
```
CuAgIBr
1.0
4.303 0.000 0.000
0.000 4.362 0.000
0.000 0.000 6.303
Cu Ag I Br
1 1 1 1
Cartesian
0.000 0.000 0.000
2.152 2.181 3.022
0.000 2.181 4.876
2.152 0.000 1.346
```

---

# 7
For CuAgIrBr6, a DFT-relaxed cell (PBE, Alexandria) gives the theoretical powder X-ray diffraction pattern in this record (Cu Kα).
Intensities are scaled so that the largest is 100.

The 12 most intense peaks (10 to 90 degrees two-theta), in order of falling intensity:
2θ/deg	I_rel
30.63	100
39.86	99
21.12	85
47.61	53
17.05	31
44.30	27
52.20	24
14.29	24
83.32	24
63.78	22
34.49	21
79.69	20

Crystal structure
```
CuAgIrBr6
1.0
6.617 0.000 0.000
-3.308 5.730 0.000
0.000 0.000 12.394
Cu Ag Ir Br
2 2 2 12
Cartesian
0.000 3.820 3.099
3.308 1.910 9.296
0.000 0.000 0.000
0.000 0.000 6.197
0.000 3.820 9.296
3.308 1.910 3.099
-1.128 2.089 7.872
-2.063 3.709 10.719
1.128 2.089 10.719
-0.935 5.663 7.872
2.374 0.068 1.675
1.245 2.022 4.522
2.063 3.709 7.872
0.935 5.663 10.719
4.243 0.068 4.522
2.180 3.641 1.675
5.372 2.022 1.675
4.437 3.641 4.522
```

---

# 8
For KCu2Ag2Br7, a DFT-relaxed cell (PBE, Alexandria) gives the theoretical powder X-ray diffraction pattern in this record (Cu Kα).
Intensities are scaled so that the largest is 100.

The 12 most intense peaks (10 to 90 degrees two-theta), in order of falling intensity:
2θ/deg	I_rel
16.32	100
24.56	64
43.23	46
29.63	45
17.84	36
46.50	36
55.43	29
14.37	25
32.99	24
30.52	22
41.56	21
39.56	15

Crystal structure
```
KCu2Ag2Br7
1.0
3.625 2.093 10.860
-3.625 2.093 10.860
0.000 -4.186 10.860
K Cu Ag Br
1 2 2 7
Cartesian
0.000 0.000 0.000
0.000 0.000 13.870
0.000 0.000 18.711
0.000 0.000 8.358
0.000 0.000 24.223
-1.028 -2.087 13.264
-1.293 -1.934 19.317
-1.293 1.934 13.264
0.000 0.000 16.290
-1.028 2.087 19.317
2.321 0.153 13.264
2.321 -0.153 19.317
```